The following is a simulated powder diffraction line list of Li2Ni3SbO8. It was derived from a structure optimized by DFT (PBE+U), using λ = 1.5418 Å (Cu Kα).
Neutral-atom scattering factors, no anomalous dispersion.

abc: 5.841 5.841 9.566
angles: 90.00 90.00 120.00
Sites, in units of the cell vectors:
Li (0.000, 0.000, 0.000)
Li (0.000, 0.000, 0.500)
Li (0.333, 0.667, 0.415)
Li (0.667, 0.333, 0.915)
Ni (0.162, 0.339, 0.725)
Ni (0.176, 0.838, 0.725)
Ni (0.339, 0.162, 0.225)
Ni (0.661, 0.824, 0.725)
Ni (0.824, 0.661, 0.225)
Ni (0.838, 0.176, 0.225)
Sb (0.333, 0.667, 0.997)
Sb (0.667, 0.333, 0.497)
O (0.000, 0.000, 0.309)
O (0.000, 0.000, 0.809)
O (0.032, 0.547, 0.855)
O (0.144, 0.327, 0.103)
O (0.183, 0.856, 0.103)
O (0.327, 0.144, 0.603)
O (0.333, 0.667, 0.630)
O (0.453, 0.485, 0.855)
O (0.485, 0.453, 0.355)
O (0.515, 0.968, 0.855)
O (0.547, 0.032, 0.355)
O (0.667, 0.333, 0.130)
O (0.673, 0.817, 0.103)
O (0.817, 0.673, 0.603)
O (0.856, 0.183, 0.603)
O (0.968, 0.515, 0.355)

Peak list (10 most intense, 15 to 90 degrees two-theta, by angle)
d_spacing  2θ/deg  I (rel.)  hkl
4.472  19.9  100.0  1 0 1
3.475  25.6  32.7  1 0 2
2.697  33.2  39.7  1 0 3
2.493  36.0  51.6  2 -1 2
2.445  36.8  36.8  2 0 1
1.982  45.8  32.7  2 0 3
1.738  52.7  14.1  2 0 4
1.640  56.1  20.0  3 -1 3
1.526  60.7  28.7  2 0 5
1.460  63.7  24.5  2 2 0

---

The following is a simulated powder diffraction line list of TlW6O18. It was derived from a structure optimized by DFT (PBE+U), using λ = 1.5418 Å (Cu Kα).
Neutral-atom scattering factors, no anomalous dispersion.

abc: 7.521 7.521 7.726
angles: 90.00 90.00 120.00
Sites, in units of the cell vectors:
Tl (0.000, 0.000, 0.000)
W (0.000, 0.500, 0.251)
W (0.000, 0.500, 0.749)
W (0.500, 0.000, 0.251)
W (0.500, 0.000, 0.749)
W (0.500, 0.500, 0.251)
W (0.500, 0.500, 0.749)
O (0.000, 0.500, 0.000)
O (0.000, 0.500, 0.500)
O (0.212, 0.424, 0.248)
O (0.212, 0.424, 0.752)
O (0.212, 0.788, 0.248)
O (0.212, 0.788, 0.752)
O (0.424, 0.212, 0.248)
O (0.424, 0.212, 0.752)
O (0.500, 0.000, 0.000)
O (0.500, 0.000, 0.500)
O (0.500, 0.500, 0.000)
O (0.500, 0.500, 0.500)
O (0.576, 0.788, 0.248)
O (0.576, 0.788, 0.752)
O (0.788, 0.212, 0.248)
O (0.788, 0.212, 0.752)
O (0.788, 0.576, 0.248)
O (0.788, 0.576, 0.752)

Peak list (10 most intense, 15 to 90 degrees two-theta, by angle)
d_spacing  2θ/deg  I (rel.)  hkl
3.863  23.0  29.7  0 0 2
3.323  26.8  38.0  1 0 2
3.257  27.4  100.0  2 0 0
2.695  33.2  21.4  1 1 2
2.490  36.1  28.7  2 0 2
1.880  48.4  25.2  2 2 0
1.661  55.3  29.6  2 0 4
1.628  56.5  15.9  4 0 0
1.347  69.8  16.5  2 2 4
1.245  76.5  13.3  4 0 4